Record 1
# Dy6Ho5Sc
Computed powder XRD pattern, Cu Kα X-rays. Input: a GGA-PBE-relaxed structure.

Crystal structure
```
12
Lattice="5.539 -7.469 0.000 5.539 7.469 0.000 -2.217 0.000 4.441" Properties=species:S:1:pos:R:3 pbc="T T T"
Dy 1.089 2.477 3.322
Dy 2.182 0.000 1.094
Dy 1.089 -2.477 3.322
Dy 7.772 2.477 1.119
Dy 6.679 0.000 3.347
Dy 7.772 -2.477 1.119
Ho 5.539 5.002 0.000
Ho 4.431 2.480 2.221
Ho 5.539 0.000 0.000
Ho 4.431 -2.480 2.221
Ho 5.539 -5.002 0.000
Sc -1.108 0.000 2.221
```

The 10 most intense peaks (15 to 90 degrees two-theta), sorted by position:
- d = 2.867 Å, 31.2°, I = 100.0
- d = 2.490 Å, 36.1°, I = 16.9
- d = 2.480 Å, 36.2°, I = 33.5
- d = 1.757 Å, 52.1°, I = 29.7
- d = 1.752 Å, 52.2°, I = 5.9
- d = 1.500 Å, 61.8°, I = 14.2
- d = 1.497 Å, 62.0°, I = 21.1
- d = 1.494 Å, 62.1°, I = 7.0
- d = 1.434 Å, 65.1°, I = 12.1
- d = 1.140 Å, 85.1°, I = 11.8



Record 2
# Ti3SbS
Computed powder XRD pattern, Cu Kα X-rays. Input: a GGA-PBE-relaxed structure.

Crystal structure
```
10
Lattice="4.875 0.000 0.000 0.000 4.798 0.000 -1.135 0.000 7.566" Properties=species:S:1:pos:R:3 pbc="T T T"
Ti 0.037 1.200 0.698
Ti 1.263 1.200 3.415
Ti 1.292 1.200 6.541
Ti 2.448 3.599 1.024
Ti 2.478 3.599 4.150
Ti 3.704 3.599 6.868
Sb 0.007 3.599 2.428
Sb 3.734 1.200 5.138
S 1.219 3.599 6.180
S 2.521 1.200 1.385
```

The 10 most intense peaks (15 to 90 degrees two-theta), sorted by position:
- d = 4.052 Å, 21.9°, I = 28.1
- d = 3.217 Å, 27.7°, I = 22.7
- d = 2.971 Å, 30.1°, I = 19.0
- d = 2.408 Å, 37.3°, I = 100.0
- d = 2.400 Å, 37.5°, I = 78.3
- d = 2.385 Å, 37.7°, I = 27.7
- d = 2.148 Å, 42.1°, I = 23.6
- d = 2.135 Å, 42.3°, I = 22.7
- d = 1.759 Å, 52.0°, I = 16.3
- d = 1.691 Å, 54.2°, I = 18.1



Record 3
# PrCd2Pd7
Computed powder XRD pattern, Cu Kα X-rays. Input: a GGA-PBE-relaxed structure.

Crystal structure
```
10
Lattice="3.214 -8.381 0.000 3.214 8.381 0.000 0.000 0.000 3.865" Properties=species:S:1:pos:R:3 pbc="T T T"
Pr 0.000 0.000 0.000
Cd 3.214 4.023 1.932
Cd 3.214 -4.023 1.932
Pd 1.318 1.962 1.932
Pd 1.318 -1.962 1.932
Pd 3.214 1.874 0.000
Pd 3.214 0.000 1.932
Pd 3.214 -1.874 0.000
Pd 5.111 1.962 1.932
Pd 5.111 -1.962 1.932
```

The 10 most intense peaks (15 to 90 degrees two-theta), sorted by position:
- d = 3.865 Å, 23.0°, I = 34.5
- d = 2.849 Å, 31.4°, I = 55.1
- d = 2.550 Å, 35.2°, I = 52.3
- d = 2.370 Å, 38.0°, I = 24.0
- d = 2.356 Å, 38.2°, I = 83.3
- d = 2.128 Å, 42.5°, I = 100.0
- d = 2.095 Å, 43.2°, I = 38.9
- d = 1.932 Å, 47.0°, I = 37.0
- d = 1.540 Å, 60.1°, I = 21.4
- d = 1.420 Å, 65.7°, I = 21.6



Record 4
# NdTl2F8
Computed powder XRD pattern, Cu Kα X-rays. Input: a GGA-PBE-relaxed structure.

Crystal structure
```
11
Lattice="7.272 0.000 0.000 -3.636 6.298 0.000 0.000 0.000 4.512" Properties=species:S:1:pos:R:3 pbc="T T T"
Nd 0.000 0.000 0.000
Tl 0.000 4.198 3.271
Tl 3.636 2.099 1.241
F -0.010 1.971 3.337
F -1.924 5.321 3.337
F 1.702 0.994 1.176
F 0.000 4.198 1.027
F 3.636 2.099 3.486
F 1.934 5.304 3.337
F 5.560 0.976 1.176
F 3.646 4.327 1.176
```

The 10 most intense peaks (15 to 90 degrees two-theta), sorted by position:
- d = 3.668 Å, 24.3°, I = 97.7
- d = 3.636 Å, 24.5°, I = 100.0
- d = 2.582 Å, 34.7°, I = 20.3
- d = 2.124 Å, 42.6°, I = 19.0
- d = 2.105 Å, 43.0°, I = 47.1
- d = 2.099 Å, 43.1°, I = 22.5
- d = 1.818 Å, 50.2°, I = 22.8
- d = 1.637 Å, 56.2°, I = 19.2
- d = 1.629 Å, 56.5°, I = 19.6
- d = 1.375 Å, 68.2°, I = 22.7



Record 5
# Nd2Ho7Sc2
Computed powder XRD pattern, Cu Kα X-rays. Input: a GGA-PBE-relaxed structure.

Crystal structure
```
11
Lattice="4.620 -4.495 0.000 4.620 4.495 0.000 -1.842 0.000 8.312" Properties=species:S:1:pos:R:3 pbc="T T T"
Nd 0.306 0.000 3.042
Nd 7.092 0.000 5.270
Ho 0.621 1.792 5.838
Ho 1.712 0.000 0.213
Ho 0.621 -1.792 5.838
Ho 3.699 0.000 4.156
Ho 6.777 1.792 2.473
Ho 5.686 0.000 8.099
Ho 6.777 -1.792 2.473
Sc 4.620 1.623 0.000
Sc 4.620 -1.623 0.000
```

The 10 most intense peaks (15 to 90 degrees two-theta), sorted by position:
- d = 4.508 Å, 19.7°, I = 32.5
- d = 3.052 Å, 29.3°, I = 62.5
- d = 2.851 Å, 31.4°, I = 47.2
- d = 2.832 Å, 31.6°, I = 100.0
- d = 2.771 Å, 32.3°, I = 43.0
- d = 2.749 Å, 32.6°, I = 61.9
- d = 2.737 Å, 32.7°, I = 52.4
- d = 2.696 Å, 33.2°, I = 46.1
- d = 2.615 Å, 34.3°, I = 33.2
- d = 2.161 Å, 41.8°, I = 23.6



Record 6
# Li2Bi2PdO6
Computed powder XRD pattern, Cu Kα X-rays. Input: a GGA-PBE-relaxed structure.

Crystal structure
```
11
Lattice="2.906 1.678 5.070 -2.906 1.678 5.070 0.000 -3.356 5.070" Properties=species:S:1:pos:R:3 pbc="T T T"
Li 0.000 0.000 1.368
Li 0.000 0.000 13.842
Bi 0.000 0.000 4.603
Bi 0.000 0.000 10.606
Pd 0.000 0.000 7.605
O 0.000 -1.503 6.228
O -1.302 0.752 6.228
O -1.302 -0.752 8.982
O 1.302 0.752 6.228
O 1.302 -0.752 8.982
O 0.000 1.503 8.982
```

The 10 most intense peaks (15 to 90 degrees two-theta), sorted by position:
- d = 5.070 Å, 17.5°, I = 31.1
- d = 4.779 Å, 18.6°, I = 84.0
- d = 4.197 Å, 21.2°, I = 29.6
- d = 2.906 Å, 30.8°, I = 100.0
- d = 2.603 Å, 34.4°, I = 76.7
- d = 2.521 Å, 35.6°, I = 29.5
- d = 2.389 Å, 37.6°, I = 22.1
- d = 1.939 Å, 46.9°, I = 38.3
- d = 1.678 Å, 54.7°, I = 20.4
- d = 1.613 Å, 57.1°, I = 42.5



Record 7
# NpVCrTc
Computed powder XRD pattern, Cu Kα X-rays. Input: a GGA-PBE-relaxed structure.

Crystal structure
```
16
Lattice="6.264 0.000 0.000 0.000 6.264 0.000 0.000 0.000 6.264" Properties=species:S:1:pos:R:3 pbc="T T T"
Np 0.000 0.000 0.000
Np 0.000 3.132 3.132
Np 3.132 0.000 3.132
Np 3.132 3.132 0.000
V 0.000 0.000 3.132
V 0.000 3.132 0.000
V 3.132 0.000 0.000
V 3.132 3.132 3.132
Cr 1.566 1.566 1.566
Cr 1.566 4.698 4.698
Cr 4.698 1.566 4.698
Cr 4.698 4.698 1.566
Tc 1.566 1.566 4.698
Tc 1.566 4.698 1.566
Tc 4.698 1.566 1.566
Tc 4.698 4.698 4.698
```

The 10 most intense peaks (15 to 90 degrees two-theta), sorted by position:
- d = 3.617 Å, 24.6°, I = 44.4
- d = 3.132 Å, 28.5°, I = 10.6
- d = 2.215 Å, 40.7°, I = 100.0
- d = 1.889 Å, 48.2°, I = 24.0
- d = 1.566 Å, 59.0°, I = 16.6
- d = 1.437 Å, 64.9°, I = 10.3
- d = 1.401 Å, 66.8°, I = 4.5
- d = 1.279 Å, 74.2°, I = 33.3
- d = 1.206 Å, 79.5°, I = 8.1
- d = 1.107 Å, 88.2°, I = 10.9



Record 8
# RbHoTm4S8
Computed powder XRD pattern, Cu Kα X-rays. Input: a GGA-PBE-relaxed structure.

Crystal structure
```
14
Lattice="4.084 2.358 6.714 -4.084 2.358 6.714 0.000 -4.716 6.714" Properties=species:S:1:pos:R:3 pbc="T T T"
Rb 0.000 0.000 0.000
Ho 0.000 0.000 12.726
Tm -2.117 -1.222 9.233
Tm 0.000 0.000 5.072
Tm 2.117 -1.222 9.233
Tm 0.000 2.445 9.233
S 0.000 -2.229 10.890
S -1.931 1.115 10.890
S 0.000 0.000 7.730
S -1.738 -1.004 14.450
S 1.931 1.115 10.890
S 0.000 0.000 17.258
S 1.738 -1.004 14.450
S 0.000 2.007 14.450
```

The 10 most intense peaks (15 to 90 degrees two-theta), sorted by position:
- d = 4.094 Å, 21.7°, I = 28.4
- d = 3.493 Å, 25.5°, I = 100.0
- d = 3.484 Å, 25.6°, I = 34.2
- d = 3.337 Å, 26.7°, I = 19.5
- d = 2.894 Å, 30.9°, I = 36.0
- d = 2.229 Å, 40.5°, I = 42.4
- d = 2.225 Å, 40.6°, I = 21.3
- d = 2.051 Å, 44.2°, I = 39.8
- d = 2.042 Å, 44.4°, I = 39.6
- d = 1.505 Å, 61.6°, I = 16.1



Record 9
# PuHg3Au8
Computed powder XRD pattern, Cu Kα X-rays. Input: a GGA-PBE-relaxed structure.

Crystal structure
```
12
Lattice="2.836 1.637 9.042 -2.836 1.637 9.042 0.000 -3.275 9.042" Properties=species:S:1:pos:R:3 pbc="T T T"
Pu 0.000 0.000 0.000
Hg 0.000 0.000 10.206
Hg 0.000 0.000 13.539
Hg 0.000 0.000 23.695
Au 0.000 0.000 5.071
Au -1.421 -0.820 20.894
Au 0.000 -1.641 16.376
Au -1.421 0.821 16.376
Au 0.000 0.000 18.641
Au 1.421 -0.820 20.894
Au 0.000 1.641 20.894
Au 1.421 0.821 16.376
```

The 10 most intense peaks (15 to 90 degrees two-theta), sorted by position:
- d = 2.836 Å, 31.5°, I = 28.7
- d = 2.790 Å, 32.1°, I = 27.4
- d = 2.417 Å, 37.2°, I = 51.2
- d = 2.402 Å, 37.4°, I = 100.0
- d = 2.374 Å, 37.9°, I = 49.0
- d = 2.309 Å, 39.0°, I = 59.3
- d = 1.539 Å, 60.1°, I = 25.7
- d = 1.532 Å, 60.4°, I = 25.6
- d = 1.418 Å, 65.9°, I = 30.2
- d = 1.395 Å, 67.1°, I = 28.6



Record 10
# Pa2Ti2Sb2C
Computed powder XRD pattern, Cu Kα X-rays. Input: a GGA-PBE-relaxed structure.

Crystal structure
```
14
Lattice="4.350 0.000 0.000 0.000 4.350 0.000 0.000 0.000 15.308" Properties=species:S:1:pos:R:3 pbc="T T T"
Pa 0.000 0.000 2.442
Pa 0.000 0.000 12.866
Pa 2.175 2.175 5.212
Pa 2.175 2.175 10.096
Ti 0.000 2.175 0.000
Ti 0.000 2.175 7.654
Ti 2.175 0.000 0.000
Ti 2.175 0.000 7.654
Sb 0.000 0.000 5.639
Sb 0.000 0.000 9.669
Sb 2.175 2.175 2.015
Sb 2.175 2.175 13.293
C 0.000 0.000 0.000
C 2.175 2.175 7.654
```

The 10 most intense peaks (15 to 90 degrees two-theta), sorted by position:
- d = 3.827 Å, 23.2°, I = 39.8
- d = 3.310 Å, 26.9°, I = 36.5
- d = 3.076 Å, 29.0°, I = 96.2
- d = 2.854 Å, 31.3°, I = 37.1
- d = 2.551 Å, 35.2°, I = 28.4
- d = 2.398 Å, 37.5°, I = 100.0
- d = 2.175 Å, 41.5°, I = 63.5
- d = 1.964 Å, 46.2°, I = 25.4
- d = 1.655 Å, 55.5°, I = 30.5
- d = 1.295 Å, 73.1°, I = 28.1



Record 11
# GePb2S4
Computed powder XRD pattern, Cu Kα X-rays. Input: a GGA-PBE-relaxed structure.

Crystal structure
```
14
Lattice="9.246 0.000 0.000 0.000 8.085 0.000 -3.144 0.000 5.584" Properties=species:S:1:pos:R:3 pbc="T T T"
Ge 0.000 0.000 0.000
Ge 4.623 4.043 0.000
Pb 1.964 1.924 2.714
Pb 1.964 6.162 2.714
Pb 6.587 2.119 2.714
Pb 6.587 5.966 2.714
S -0.903 0.000 2.100
S -2.047 1.909 5.515
S -2.047 6.176 5.515
S 0.291 4.043 3.609
S 3.720 4.043 2.100
S 2.576 2.133 5.515
S 2.576 5.952 5.515
S 4.914 0.000 3.609
```

The 10 most intense peaks (15 to 90 degrees two-theta), sorted by position:
- d = 5.584 Å, 15.9°, I = 69.1
- d = 4.469 Å, 19.9°, I = 78.7
- d = 4.035 Å, 22.0°, I = 78.1
- d = 3.275 Å, 27.2°, I = 57.1
- d = 2.998 Å, 29.8°, I = 100.0
- d = 2.854 Å, 31.3°, I = 37.5
- d = 2.792 Å, 32.1°, I = 41.7
- d = 2.699 Å, 33.2°, I = 35.3
- d = 2.471 Å, 36.4°, I = 31.8
- d = 2.244 Å, 40.2°, I = 28.5



Record 12
# LiCoH3
Computed powder XRD pattern, Cu Kα X-rays. Input: a GGA-PBE-relaxed structure.

Crystal structure
```
10
Lattice="1.632 -4.474 0.000 1.632 4.474 0.000 0.000 0.000 4.946" Properties=species:S:1:pos:R:3 pbc="T T T"
Li 1.632 2.717 3.710
Li 1.632 -2.717 1.237
Co 1.632 0.122 3.710
Co 1.632 -0.122 1.237
H 1.632 4.247 1.237
H 1.632 1.087 0.080
H 1.632 1.087 2.394
H 1.632 -1.087 2.553
H 1.632 -1.087 4.867
H 1.632 -4.247 3.710
```

The 10 most intense peaks (15 to 90 degrees two-theta), sorted by position:
- d = 4.474 Å, 19.8°, I = 100.0
- d = 3.066 Å, 29.1°, I = 81.2
- d = 2.473 Å, 36.3°, I = 25.8
- d = 2.237 Å, 40.3°, I = 14.8
- d = 2.202 Å, 41.0°, I = 31.8
- d = 2.164 Å, 41.7°, I = 26.9
- d = 1.925 Å, 47.2°, I = 35.9
- d = 1.659 Å, 55.4°, I = 12.5
- d = 1.644 Å, 55.9°, I = 26.5
- d = 1.303 Å, 72.5°, I = 8.9